1.
For Tl4In3Ga2, a crystal structure in Alexandria, relaxed with GGA-PBE gives the computed PXRD pattern in this record (CuKα).
No peak broadening, texture or thermal motion is included.

Principal peaks in the range 2θ from 10° to 90°, by angle:
26.33°, 3.385 Å, I 21.6; 30.58°, 2.923 Å, I 100.0; 30.91°, 2.893 Å, I 38.9; 31.05°, 2.880 Å, I 16.4; 31.72°, 2.821 Å, I 15.5; 33.42°, 2.681 Å, I 26.5; 34.11°, 2.629 Å, I 20.4; 34.97°, 2.566 Å, I 27.9; 42.95°, 2.106 Å, I 18.2; 55.34°, 1.660 Å, I 16.6

Unit cell a=8.822 b=8.822 c=8.801 alpha=105.59 beta=105.59 gamma=22.46
Element x y z (fractional)
Tl 0.054 0.054 0.181
Tl 0.354 0.354 0.110
Tl 0.646 0.646 0.890
Tl 0.946 0.946 0.819
In 0.000 0.000 0.500
In 0.271 0.271 0.711
In 0.729 0.729 0.289
Ga 0.361 0.361 0.480
Ga 0.639 0.639 0.520

2.
For Ac3Hg4Pb, a crystal structure in Alexandria, relaxed with GGA-PBE gives the computed PXRD pattern in this record (CuKα).
No peak broadening, texture or thermal motion is included.

Principal peaks in the range 2θ from 10° to 90°, by angle:
31.08°, 2.878 Å, I 100.0; 32.30°, 2.772 Å, I 98.8; 45.43°, 1.996 Å, I 36.0; 54.51°, 1.683 Å, I 16.3; 56.83°, 1.620 Å, I 37.5; 57.60°, 1.600 Å, I 19.7; 64.80°, 1.439 Å, I 9.8; 67.60°, 1.386 Å, I 13.0; 74.27°, 1.277 Å, I 13.4; 76.25°, 1.249 Å, I 16.2

Unit cell a=10.107 b=10.107 c=10.107 alpha=31.84 beta=31.84 gamma=31.84
Element x y z (fractional)
Ac 0.000 0.000 0.000
Ac 0.240 0.240 0.240
Ac 0.760 0.760 0.760
Hg 0.121 0.121 0.121
Hg 0.372 0.372 0.372
Hg 0.628 0.628 0.628
Hg 0.879 0.879 0.879
Pb 0.500 0.500 0.500

3.
For La3HgRu, a crystal structure in Alexandria, relaxed with GGA-PBE gives the computed PXRD pattern in this record (CuKα).
No peak broadening, texture or thermal motion is included.

Principal peaks in the range 2θ from 10° to 90°, by angle:
27.66°, 3.225 Å, I 69.6; 27.88°, 3.200 Å, I 100.0; 33.87°, 2.647 Å, I 31.5; 34.41°, 2.607 Å, I 76.7; 35.11°, 2.556 Å, I 40.4; 35.40°, 2.536 Å, I 20.7; 37.97°, 2.370 Å, I 68.5; 41.02°, 2.200 Å, I 28.4; 52.67°, 1.738 Å, I 35.1; 61.83°, 1.500 Å, I 32.6

Unit cell a=6.971 b=6.971 c=6.971 alpha=72.15 beta=72.15 gamma=72.15
Element x y z (fractional)
La 0.032 0.384 0.584
La 0.084 0.884 0.532
La 0.384 0.584 0.032
La 0.532 0.084 0.884
La 0.584 0.032 0.384
La 0.884 0.532 0.084
Hg 0.013 0.013 0.013
Hg 0.513 0.513 0.513
Ru 0.214 0.214 0.214
Ru 0.714 0.714 0.714

4.
For NaTa3O8, a crystal structure in Alexandria, relaxed with GGA-PBE gives the computed PXRD pattern in this record (CuKα).
No peak broadening, texture or thermal motion is included.

Principal peaks in the range 2θ from 10° to 90°, by angle:
14.76°, 6.004 Å, I 56.8; 16.86°, 5.260 Å, I 17.2; 29.28°, 3.050 Å, I 17.1; 29.76°, 3.002 Å, I 100.0; 30.43°, 2.938 Å, I 92.5; 34.09°, 2.630 Å, I 25.2; 35.29°, 2.544 Å, I 48.8; 49.88°, 1.828 Å, I 67.5; 59.57°, 1.552 Å, I 31.1; 60.72°, 1.525 Å, I 26.5

Unit cell a=7.319 b=7.319 c=7.319 alpha=120.07 beta=88.12 gamma=122.12
Element x y z (fractional)
Na 0.250 0.250 0.000
Na 0.750 0.750 0.000
Ta 0.237 0.739 0.976
Ta 0.250 0.750 0.500
Ta 0.263 0.239 0.502
Ta 0.737 0.761 0.498
Ta 0.750 0.250 0.500
Ta 0.763 0.261 0.024
O 0.061 0.898 0.552
O 0.069 0.616 0.685
O 0.154 0.602 0.163
O 0.174 0.989 0.163
O 0.326 0.489 0.815
O 0.346 0.509 0.448
O 0.431 0.116 0.546
O 0.439 0.991 0.837
O 0.561 0.009 0.163
O 0.569 0.884 0.454
O 0.654 0.491 0.552
O 0.674 0.511 0.185
O 0.826 0.011 0.837
O 0.846 0.398 0.837
O 0.931 0.384 0.315
O 0.939 0.102 0.448

5.
For NpNi22B6, a crystal structure in Alexandria, relaxed with GGA-PBE gives the computed PXRD pattern in this record (CuKα).
No peak broadening, texture or thermal motion is included.

Principal peaks in the range 2θ from 10° to 90°, by angle:
14.51°, 6.103 Å, I 20.9; 16.78°, 5.285 Å, I 7.1; 28.00°, 3.187 Å, I 18.4; 29.27°, 3.051 Å, I 9.5; 41.87°, 2.158 Å, I 38.8; 44.54°, 2.034 Å, I 100.0; 48.73°, 1.869 Å, I 23.0; 51.90°, 1.762 Å, I 17.4; 76.47°, 1.246 Å, I 22.3; 78.34°, 1.221 Å, I 16.6

Unit cell a=7.474 b=7.474 c=7.474 alpha=60.00 beta=60.00 gamma=60.00
Element x y z (fractional)
Np 0.000 0.000 0.000
Ni 0.000 0.000 0.341
Ni 0.000 0.000 0.659
Ni 0.000 0.341 0.000
Ni 0.000 0.341 0.659
Ni 0.000 0.659 0.000
Ni 0.000 0.659 0.341
Ni 0.148 0.617 0.617
Ni 0.250 0.250 0.250
Ni 0.341 0.000 0.000
Ni 0.341 0.000 0.659
Ni 0.341 0.659 0.000
Ni 0.383 0.383 0.383
Ni 0.383 0.383 0.852
Ni 0.383 0.852 0.383
Ni 0.617 0.148 0.617
Ni 0.617 0.617 0.148
Ni 0.617 0.617 0.617
Ni 0.659 0.000 0.000
Ni 0.659 0.000 0.341
Ni 0.659 0.341 0.000
Ni 0.750 0.750 0.750
Ni 0.852 0.383 0.383
B 0.277 0.277 0.723
B 0.277 0.723 0.277
B 0.277 0.723 0.723
B 0.723 0.277 0.277
B 0.723 0.277 0.723
B 0.723 0.723 0.277

6.
For Dy2Er3Si4, a crystal structure in Alexandria, relaxed with GGA-PBE gives the computed PXRD pattern in this record (CuKα).
No peak broadening, texture or thermal motion is included.

Principal peaks in the range 2θ from 10° to 90°, by angle:
26.53°, 3.360 Å, I 58.3; 27.38°, 3.257 Å, I 48.5; 29.79°, 2.999 Å, I 52.5; 32.05°, 2.792 Å, I 44.0; 33.49°, 2.676 Å, I 100.0; 33.71°, 2.659 Å, I 87.9; 34.01°, 2.636 Å, I 98.5; 37.51°, 2.398 Å, I 64.0; 38.63°, 2.331 Å, I 55.9; 53.94°, 1.700 Å, I 43.8

Unit cell a=7.601 b=7.652 c=7.344 alpha=90.00 beta=106.87 gamma=90.00
Element x y z (fractional)
Dy 0.198 0.180 0.084
Dy 0.198 0.320 0.584
Dy 0.802 0.680 0.416
Dy 0.802 0.820 0.916
Er 0.244 0.681 0.252
Er 0.244 0.819 0.752
Er 0.500 0.000 0.500
Er 0.500 0.500 0.000
Er 0.756 0.181 0.248
Er 0.756 0.319 0.748
Si 0.080 0.530 0.874
Si 0.080 0.970 0.374
Si 0.489 0.121 0.876
Si 0.489 0.379 0.376
Si 0.511 0.621 0.624
Si 0.511 0.879 0.124
Si 0.920 0.030 0.626
Si 0.920 0.470 0.126

7.
For CsLi3Hg4Cl12, a crystal structure in Alexandria, relaxed with GGA-PBE gives the computed PXRD pattern in this record (CuKα).
No peak broadening, texture or thermal motion is included.

Principal peaks in the range 2θ from 10° to 90°, by angle:
12.15°, 7.282 Å, I 32.6; 16.79°, 5.279 Å, I 86.3; 20.78°, 4.274 Å, I 35.3; 23.21°, 3.832 Å, I 100.0; 24.45°, 3.641 Å, I 42.6; 26.28°, 3.391 Å, I 34.6; 27.11°, 3.289 Å, I 31.1; 27.73°, 3.217 Å, I 38.5; 44.88°, 2.020 Å, I 30.1; 54.34°, 1.688 Å, I 30.7

Unit cell a=9.003 b=9.003 c=9.003 alpha=107.97 beta=107.97 gamma=107.97
Element x y z (fractional)
Cs 0.000 0.000 0.000
Li 0.000 0.559 0.441
Li 0.441 0.000 0.559
Li 0.559 0.441 0.000
Hg 0.060 0.500 0.940
Hg 0.500 0.500 0.500
Hg 0.500 0.940 0.060
Hg 0.940 0.060 0.500
Cl 0.074 0.662 0.762
Cl 0.107 0.893 0.500
Cl 0.238 0.338 0.926
Cl 0.331 0.669 0.500
Cl 0.338 0.926 0.238
Cl 0.500 0.107 0.893
Cl 0.500 0.331 0.669
Cl 0.662 0.762 0.074
Cl 0.669 0.500 0.331
Cl 0.762 0.074 0.662
Cl 0.893 0.500 0.107
Cl 0.926 0.238 0.338

8.
For Cs7H2Au2, a crystal structure in Alexandria, relaxed with GGA-PBE gives the computed PXRD pattern in this record (CuKα).
No peak broadening, texture or thermal motion is included.

Principal peaks in the range 2θ from 10° to 90°, by angle:
20.45°, 4.342 Å, I 35.7; 21.17°, 4.197 Å, I 39.8; 21.97°, 4.045 Å, I 43.8; 24.34°, 3.658 Å, I 46.7; 24.74°, 3.599 Å, I 45.1; 26.00°, 3.427 Å, I 100.0; 26.87°, 3.318 Å, I 44.8; 30.11°, 2.968 Å, I 56.6; 31.67°, 2.825 Å, I 50.1; 35.17°, 2.552 Å, I 38.7

Unit cell a=12.960 b=12.960 c=12.960 alpha=159.38 beta=61.13 gamma=123.15
Element x y z (fractional)
Cs 0.000 0.000 0.000
Cs 0.224 0.539 0.685
Cs 0.280 0.376 0.904
Cs 0.472 0.376 0.096
Cs 0.617 0.232 0.386
Cs 0.846 0.232 0.614
Cs 0.854 0.539 0.315
H 0.035 0.911 0.124
H 0.787 0.911 0.876
Au 0.217 0.717 0.500
Au 0.628 0.628 0.000